For Mg5Rh2, a DFT-relaxed cell (GGA-PBE, Alexandria) gives the theoretical PXRD pattern in this record (Cu Kα, 1.54184 Å).

Principal peaks in the range 15° ≤ 2θ ≤ 90°, in order of rising 2θ:
Position (°2θ)  intensity
24.50  100
26.50  15
27.26  17
31.13  15
38.38  42
41.33  38
41.84  37
45.59  28
46.53  26
51.53  13

Crystal structure
```
Mg5Rh2
1.0
-3.363 6.544 2.873
3.363 -6.544 2.873
3.363 6.544 -2.873
Mg Rh
10 4
direct
0.017 0.250 0.767
0.082 0.654 0.736
0.250 0.250 0.000
0.418 0.154 0.572
0.483 0.250 0.233
0.517 0.750 0.767
0.582 0.846 0.428
0.750 0.750 0.000
0.918 0.346 0.264
0.983 0.750 0.233
0.123 0.265 0.388
0.377 0.765 0.141
0.623 0.235 0.859
0.877 0.735 0.612
```